1.
Ti2S2N: calculated XRD peak list (CuKα), based on DFT lattice parameters and positions (PBE).
Intensities are scaled so that the largest is 100.

Cell and atoms:
```
data_Ti2S2N
_symmetry_space_group_name_H-M 'I b a m'
_symmetry_Int_Tables_number 72
_symmetry_space_group_name_Hall '-I 2 2c'
_cell_length_a 6.311
_cell_length_b 8.903
_cell_length_c 5.346
_cell_angle_alpha 90.00
_cell_angle_beta 90.00
_cell_angle_gamma 90.00
loop_
_atom_site_label
_atom_site_fract_x
_atom_site_fract_y
_atom_site_fract_z
_atom_site_occupancy
Ti1 0.208 0.075 0.000 1
S1 0.109 0.342 0.000 1
N1 0.000 0.000 0.250 1
```

Largest 12 diffraction maxima, most intense first, 2θ from 10° to 90°:
2θ = 33.5°, rel. 100.0
2θ = 34.5°, rel. 98.0
2θ = 46.5°, rel. 92.9
2θ = 51.0°, rel. 57.2
2θ = 33.4°, rel. 43.3
2θ = 19.9°, rel. 33.4
2θ = 29.7°, rel. 32.8
2θ = 69.1°, rel. 30.1
2θ = 44.4°, rel. 26.0
2θ = 45.2°, rel. 24.9
2θ = 49.1°, rel. 24.1
2θ = 28.3°, rel. 21.6

2.
Ti4S8N: calculated XRD peak list (CuKα), based on DFT lattice parameters and positions (PBE).
Intensities are scaled so that the largest is 100.

Cell and atoms:
```
data_Ti4S8N
_symmetry_space_group_name_H-M 'P 1 m 1'
_symmetry_Int_Tables_number 6
_cell_length_a 5.898
_cell_length_b 3.413
_cell_length_c 14.920
_cell_angle_alpha 90.00
_cell_angle_beta 97.63
_cell_angle_gamma 90.00
loop_
_symmetry_equiv_pos_as_xyz
'x,y,z'
'x,-y,z'
loop_
_atom_site_label
_atom_site_fract_x
_atom_site_fract_y
_atom_site_fract_z
_atom_site_occupancy
Ti1 0.000 0.000 0.000 1
Ti2 0.141 0.000 0.429 1
Ti3 0.500 0.500 0.000 1
Ti4 0.641 0.500 0.429 1
S1 0.007 0.500 0.526 1
S2 0.134 0.500 0.903 1
S3 0.275 0.500 0.333 1
S4 0.366 0.000 0.096 1
S5 0.507 0.000 0.526 1
S6 0.634 0.000 0.903 1
S7 0.776 0.000 0.333 1
S8 0.865 0.500 0.096 1
N1 0.904 0.000 0.711 1
```

Largest 12 diffraction maxima, most intense first, 2θ from 10° to 90°:
2θ = 12.0°, rel. 100.0
2θ = 34.4°, rel. 52.3
2θ = 41.8°, rel. 18.3
2θ = 55.2°, rel. 15.5
2θ = 53.8°, rel. 12.1
2θ = 31.9°, rel. 10.5
2θ = 41.9°, rel. 9.1
2θ = 49.8°, rel. 8.2
2θ = 40.4°, rel. 6.9
2θ = 65.4°, rel. 6.7
2θ = 44.8°, rel. 6.3
2θ = 55.3°, rel. 6.1